Entry 1:
Computed powder X-ray diffraction pattern
Compound: Cs3NdP2S8
Radiation: Cu Kα
Structure: a crystal structure in the Materials Project, relaxed with PBE
Kinematic intensities with the Lorentz-polarization factor, no thermal factor.

Main lines, low angle first (2θ = 10–90°):
2θ/deg, I (rel.), hkl
19.4, 100, 2 1 0
22.7, 94, 1 1 -4
22.8, 85, 3 1 -4
25.3, 93, 0 2 0
28.2, 56, 1 0 4
28.4, 39, 5 0 -4
30.9, 48, 1 1 4
31.7, 61, 1 2 -4
31.8, 44, 3 2 -4
40.7, 39, 6 1 -8

Crystal structure
```
data_Cs3NdP2S8
_chemical_formula_sum 'Cs12 Nd4 P8 S32'
_space_group_name_H-M_alt 'P 1 21/c 1'
_space_group_IT_number 14
_cell_length_a 15.6999
_cell_length_b 7.0432
_cell_length_c 20.3894
_cell_angle_alpha 90.00
_cell_angle_beta 129.94
_cell_angle_gamma 90.00
loop_
_space_group_symop_operation_xyz
'x,y,z'
'-x,-y,-z'
'-x,y+1/2,-z+1/2'
'x,-y+1/2,z+1/2'
loop_
_atom_site_label
_atom_site_fract_x
_atom_site_fract_y
_atom_site_fract_z
Cs1 0.0660 0.2476 0.1132
Cs2 0.1546 0.2425 0.3782
Cs3 0.4165 0.7446 0.5256
Nd1 0.3524 0.7312 0.7297
P1 0.1939 0.7456 0.2769
P2 0.3468 0.2259 0.1298
S1 0.0958 0.7500 0.1456
S2 0.1151 0.7395 0.3255
S3 0.2419 0.5045 0.5728
S4 0.2539 0.0328 0.5967
S5 0.2926 0.5143 0.8168
S6 0.2966 0.5142 0.3145
S7 0.4419 0.2493 0.5935
S8 0.4561 0.1637 0.2591
```

Entry 2:
Computed powder X-ray diffraction pattern
Compound: CsNd5Se8
Radiation: Cu Kα
Structure: a crystal structure in the Materials Project, relaxed with PBE
Kinematic intensities with the Lorentz-polarization factor, no thermal factor.

Main lines, low angle first (2θ = 10–90°):
2θ/deg, I (rel.), hkl
23.8, 28, 1 2 1
30.8, 100, 3 0 1
31.2, 49, 1 0 3
36.6, 37, 2 3 1
36.7, 33, 1 3 2
36.9, 30, 1 2 3
44.2, 13, 4 0 2
44.6, 13, 2 0 4
46.6, 17, 2 3 3
62.3, 23, 1 6 1

Crystal structure
```
data_CsNd5Se8
_chemical_formula_sum 'Cs2 Nd10 Se16'
_space_group_name_H-M_alt 'I -4'
_space_group_IT_number 82
_cell_length_a 9.1958
_cell_length_b 9.1958
_cell_length_c 9.0651
_cell_angle_alpha 90.00
_cell_angle_beta 90.00
_cell_angle_gamma 90.00
loop_
_space_group_symop_operation_xyz
'x,y,z'
'y,-x,-z'
'-x,-y,z'
'-y,x,-z'
'x+1/2,y+1/2,z+1/2'
'y+1/2,-x+1/2,-z+1/2'
'-x+1/2,-y+1/2,z+1/2'
'-y+1/2,x+1/2,-z+1/2'
loop_
_atom_site_label
_atom_site_fract_x
_atom_site_fract_y
_atom_site_fract_z
Cs1 0.0000 0.0000 0.0000
Nd1 0.0000 0.5000 0.7500
Nd2 0.1317 0.7453 0.3714
Se1 0.0721 0.8141 0.6842
Se2 0.0844 0.6568 0.0541
```

Entry 3:
Computed powder X-ray diffraction pattern
Compound: Cs3Ni
Radiation: Cu Kα
Structure: a crystal structure in the Materials Project, relaxed with PBE
Kinematic intensities with the Lorentz-polarization factor, no thermal factor.

Main lines, low angle first (2θ = 10–90°):
2θ/deg, I (rel.), hkl
24.5, 100, 1 1 2
27.7, 36, 2 0 0
29.5, 15, 0 0 4
39.6, 14, 2 2 0
40.9, 25, 2 0 4
47.1, 33, 3 1 2
49.4, 14, 1 1 6
50.1, 14, 2 2 4
65.1, 13, 3 1 6
72.8, 9, 4 2 4

Crystal structure
```
data_Cs3Ni
_chemical_formula_sum 'Cs6 Ni2'
_space_group_name_H-M_alt 'I 4/m m m'
_space_group_IT_number 139
_space_group_name_Hall '-I 4 2'
_cell_length_a 6.4363
_cell_length_b 6.4363
_cell_length_c 12.1123
_cell_angle_alpha 90.00
_cell_angle_beta 90.00
_cell_angle_gamma 90.00
loop_
_atom_site_label
_atom_site_fract_x
_atom_site_fract_y
_atom_site_fract_z
Cs1 0.0000 0.0000 0.0000
Cs2 0.0000 0.5000 0.2500
Ni1 0.0000 0.0000 0.5000
```

Entry 4:
Computed powder X-ray diffraction pattern
Compound: Cs2Ni3Se4
Radiation: Cu Kα
Structure: a crystal structure in the Materials Project, relaxed with PBE
Kinematic intensities with the Lorentz-polarization factor, no thermal factor.

Main lines, low angle first (2θ = 10–90°):
2θ/deg, I (rel.), hkl
11.8, 64, 0 0 2
20.4, 42, 0 2 2
24.2, 89, 1 1 3
28.6, 54, 2 0 0
29.5, 85, 1 3 1
34.1, 100, 1 3 3
37.4, 52, 2 0 4
41.9, 32, 1 3 5
49.6, 54, 2 2 6
59.9, 42, 2 6 0

Crystal structure
```
data_Cs2Ni3Se4
_chemical_formula_sum 'Cs8 Ni12 Se16'
_space_group_name_H-M_alt 'F m m m'
_space_group_IT_number 69
_space_group_name_Hall '-F 2 2'
_cell_length_a 6.2505
_cell_length_b 10.6592
_cell_length_c 15.0497
_cell_angle_alpha 90.00
_cell_angle_beta 90.00
_cell_angle_gamma 90.00
loop_
_atom_site_label
_atom_site_fract_x
_atom_site_fract_y
_atom_site_fract_z
Cs1 0.0000 0.0000 0.1556
Ni1 0.0000 0.0000 0.5000
Ni2 0.2500 0.2500 0.0000
Se1 0.0000 0.1674 0.3993
```

Entry 5:
Computed powder X-ray diffraction pattern
Compound: Cs2NpO4
Radiation: Cu Kα
Structure: a crystal structure in the Materials Project, relaxed with PBE
Kinematic intensities with the Lorentz-polarization factor, no thermal factor.

Main lines, low angle first (2θ = 10–90°):
2θ/deg, I (rel.), hkl
11.4, 28, 0 0 2
26.5, 100, 1 0 3
28.7, 48, 1 1 0
34.6, 14, 0 0 6
41.0, 23, 2 0 0
45.5, 19, 1 1 6
49.5, 37, 2 1 3
54.7, 15, 2 0 6
57.2, 10, 1 0 9
72.8, 10, 2 1 9

Crystal structure
```
data_Cs2NpO4
_chemical_formula_sum 'Cs4 Np2 O8'
_space_group_name_H-M_alt 'I 4/m m m'
_space_group_IT_number 139
_space_group_name_Hall '-I 4 2'
_cell_length_a 4.4035
_cell_length_b 4.4035
_cell_length_c 15.5681
_cell_angle_alpha 90.00
_cell_angle_beta 90.00
_cell_angle_gamma 90.00
loop_
_atom_site_label
_atom_site_fract_x
_atom_site_fract_y
_atom_site_fract_z
Cs1 0.0000 0.0000 0.1508
Np1 0.0000 0.0000 0.5000
O1 0.0000 0.0000 0.3765
O2 0.0000 0.5000 0.0000
```

Entry 6:
Computed powder X-ray diffraction pattern
Compound: Cs2NpO3
Radiation: Cu Kα
Structure: a crystal structure in the Materials Project, relaxed with PBE
Kinematic intensities with the Lorentz-polarization factor, no thermal factor.

Main lines, low angle first (2θ = 10–90°):
2θ/deg, I (rel.), hkl
13.7, 40, 1 1 0
25.4, 64, 3 1 0
26.9, 100, 0 2 1
27.8, 52, 0 0 2
29.0, 96, 3 1 1
38.0, 56, 3 1 2
44.3, 32, 3 3 1
48.7, 20, 0 2 3
50.0, 20, 3 1 3
54.2, 29, 6 2 1

Crystal structure
```
data_Cs2NpO3
_chemical_formula_sum 'Cs8 Np4 O12'
_space_group_name_H-M_alt 'C m c 21'
_space_group_IT_number 36
_cell_length_a 11.8040
_cell_length_b 7.7367
_cell_length_c 6.4118
_cell_angle_alpha 90.00
_cell_angle_beta 90.00
_cell_angle_gamma 90.00
loop_
_space_group_symop_operation_xyz
'x,y,z'
'-x,-y,z+1/2'
'-x,y,z'
'x,-y,z+1/2'
'x+1/2,y+1/2,z'
'-x+1/2,-y+1/2,z+1/2'
'-x+1/2,y+1/2,z'
'x+1/2,-y+1/2,z+1/2'
loop_
_atom_site_label
_atom_site_fract_x
_atom_site_fract_y
_atom_site_fract_z
Cs1 0.1620 0.1439 0.0000
Np1 0.0000 0.4145 0.4832
O1 0.0000 0.1530 0.4422
O2 0.1164 0.4935 0.7384
```

Entry 7:
Computed powder X-ray diffraction pattern
Compound: CsNp2Se6
Radiation: Cu Kα
Structure: a crystal structure in the Materials Project, relaxed with PBE
Kinematic intensities with the Lorentz-polarization factor, no thermal factor.

Main lines, low angle first (2θ = 10–90°):
2θ/deg, I (rel.), hkl
16.6, 36, 0 1 1
24.7, 33, 0 1 5
27.0, 23, 1 1 0
28.6, 100, 1 0 5
35.3, 42, 1 1 6
36.0, 22, 0 2 4
39.6, 31, 1 2 1
41.1, 28, 1 2 3
43.9, 33, 2 0 0
44.8, 28, 0 1 11

Crystal structure
```
data_CsNp2Se6
_chemical_formula_sum 'Cs2 Np4 Se12'
_space_group_name_H-M_alt 'I m m m'
_space_group_IT_number 71
_space_group_name_Hall '-I 2 2'
_cell_length_a 4.1259
_cell_length_b 5.4928
_cell_length_c 23.9209
_cell_angle_alpha 90.00
_cell_angle_beta 90.00
_cell_angle_gamma 90.00
loop_
_atom_site_label
_atom_site_fract_x
_atom_site_fract_y
_atom_site_fract_z
Cs1 0.0000 0.0000 0.0000
Np1 0.0000 0.0000 0.1879
Se1 0.0000 0.2562 0.3807
Se2 0.0000 0.5000 0.2276
```

Entry 8:
Computed powder X-ray diffraction pattern
Compound: Cs3O
Radiation: Cu Kα
Structure: a crystal structure in the Materials Project, relaxed with PBE
Kinematic intensities with the Lorentz-polarization factor, no thermal factor.

Main lines, low angle first (2θ = 10–90°):
2θ/deg, I (rel.), hkl
11.6, 75, 1 0 0
23.4, 100, 1 1 1
23.6, 30, 0 0 2
33.2, 74, 2 1 1
39.3, 15, 2 1 2
41.4, 20, 1 1 3
47.6, 16, 4 0 0
48.0, 26, 2 1 3
53.7, 18, 3 2 1
53.8, 19, 4 0 2

Crystal structure
```
data_Cs3O
_chemical_formula_sum 'Cs6 O2'
_space_group_name_H-M_alt 'P 63/m c m'
_space_group_IT_number 193
_space_group_name_Hall '-P 6c 2'
_cell_length_a 8.8196
_cell_length_b 8.8196
_cell_length_c 7.5256
_cell_angle_alpha 90.00
_cell_angle_beta 90.00
_cell_angle_gamma 120.00
loop_
_atom_site_label
_atom_site_fract_x
_atom_site_fract_y
_atom_site_fract_z
Cs1 0.0000 0.2498 0.2500
O1 0.0000 0.0000 0.0000
```

Entry 9:
Computed powder X-ray diffraction pattern
Compound: Cs2O3
Radiation: Cu Kα
Structure: a crystal structure in the Materials Project, relaxed with PBE
Kinematic intensities with the Lorentz-polarization factor, no thermal factor.

Main lines, low angle first (2θ = 10–90°):
2θ/deg, I (rel.), hkl
27.2, 100, 1 1 0
33.4, 2, 1 1 1
38.8, 31, 2 0 0
48.0, 42, 2 1 1
56.0, 20, 2 2 0
63.4, 19, 3 1 0
70.2, 7, 2 2 2
76.8, 22, 3 2 1
83.3, 3, 4 0 0
89.6, 12, 4 1 1

Crystal structure
```
data_Cs2O3
_chemical_formula_sum 'Cs2 O3'
_space_group_name_H-M_alt 'P m -3 m'
_space_group_IT_number 221
_space_group_name_Hall '-P 4 2 3'
_cell_length_a 4.6420
_cell_length_b 4.6420
_cell_length_c 4.6420
_cell_angle_alpha 90.00
_cell_angle_beta 90.00
_cell_angle_gamma 90.00
loop_
_atom_site_label
_atom_site_fract_x
_atom_site_fract_y
_atom_site_fract_z
Cs1 0.0000 0.0000 0.0000
Cs2 0.5000 0.5000 0.5000
O1 0.0000 0.0000 0.5000
```

Entry 10:
Computed powder X-ray diffraction pattern
Compound: CsO3
Radiation: Cu Kα
Structure: a crystal structure in the Materials Project, relaxed with PBE
Kinematic intensities with the Lorentz-polarization factor, no thermal factor.

Main lines, low angle first (2θ = 10–90°):
2θ/deg, I (rel.), hkl
19.4, 45, 1 0 -2
20.4, 90, 1 1 0
26.5, 95, 0 1 2
27.5, 63, 0 2 0
30.1, 100, 2 1 -2
30.4, 45, 2 0 0
33.4, 20, 1 0 2
33.9, 41, 1 2 -2
41.5, 41, 2 2 0
48.6, 25, 3 1 0

Crystal structure
```
data_CsO3
_chemical_formula_sum 'Cs4 O12'
_space_group_name_H-M_alt 'P 1 21/c 1'
_space_group_IT_number 14
_cell_length_a 6.9013
_cell_length_b 6.4897
_cell_length_c 9.2678
_cell_angle_alpha 90.00
_cell_angle_beta 121.70
_cell_angle_gamma 90.00
loop_
_space_group_symop_operation_xyz
'x,y,z'
'-x,-y,-z'
'-x,y+1/2,-z+1/2'
'x,-y+1/2,z+1/2'
loop_
_atom_site_label
_atom_site_fract_x
_atom_site_fract_y
_atom_site_fract_z
Cs1 0.2326 0.2459 0.0851
O1 0.0980 0.5766 0.7917
O2 0.2652 0.7205 0.8778
O3 0.3243 0.7487 0.0427
```

Entry 11:
Computed powder X-ray diffraction pattern
Compound: Cs7O
Radiation: Cu Kα
Structure: a crystal structure in the Materials Project, relaxed with PBE
Kinematic intensities with the Lorentz-polarization factor, no thermal factor.

Main lines, low angle first (2θ = 10–90°):
2θ/deg, I (rel.), hkl
11.3, 37, 1 0 1
18.6, 28, 3 0 0
19.0, 61, 0 0 2
20.1, 32, 1 0 2
20.9, 100, 3 0 1
21.5, 40, 2 2 0
22.8, 71, 2 0 2
32.5, 42, 3 3 0
33.4, 37, 3 2 2
34.5, 45, 3 0 3

Crystal structure
```
data_Cs7O
_chemical_formula_sum 'Cs21 O3'
_space_group_name_H-M_alt 'P -6 m 2'
_space_group_IT_number 187
_space_group_name_Hall 'P -6 2'
_cell_length_a 16.5275
_cell_length_b 16.5275
_cell_length_c 9.3113
_cell_angle_alpha 90.00
_cell_angle_beta 90.00
_cell_angle_gamma 120.00
loop_
_atom_site_label
_atom_site_fract_x
_atom_site_fract_y
_atom_site_fract_z
Cs1 0.0000 0.0000 0.0000
Cs2 0.1013 0.5506 0.5000
Cs3 0.1118 0.2237 0.5000
Cs4 0.2160 0.4320 0.0000
Cs5 0.3745 0.1873 0.2195
Cs6 0.5512 0.1024 0.0000
Cs7 0.6667 0.3333 0.2044
O1 0.5053 0.2526 0.0000
```

Entry 12:
Computed powder X-ray diffraction pattern
Compound: Cs2O3
Radiation: Cu Kα
Structure: a crystal structure in the Materials Project, relaxed with PBE
Kinematic intensities with the Lorentz-polarization factor, no thermal factor.

Main lines, low angle first (2θ = 10–90°):
2θ/deg, I (rel.), hkl
22.0, 27, 2 1 1
25.5, 78, 2 2 0
28.6, 100, 3 1 0
33.9, 54, 3 2 1
42.9, 26, 3 3 2
46.9, 62, 4 3 1
50.6, 23, 5 2 1
60.7, 18, 5 4 1
69.9, 20, 6 3 3
84.3, 16, 7 4 3

Crystal structure
```
data_Cs2O3
_chemical_formula_sum 'Cs16 O24'
_space_group_name_H-M_alt 'I -4 3 d'
_space_group_IT_number 220
_space_group_name_Hall 'I -4bd 2c 3'
_cell_length_a 9.8856
_cell_length_b 9.8856
_cell_length_c 9.8856
_cell_angle_alpha 90.00
_cell_angle_beta 90.00
_cell_angle_gamma 90.00
loop_
_atom_site_label
_atom_site_fract_x
_atom_site_fract_y
_atom_site_fract_z
Cs1 0.0509 0.4491 0.5509
O1 0.0000 0.2500 0.8043
```